# CaLa2RhO5
Computed PXRD pattern, CuKα. Input: DFT lattice parameters and positions (PBE).
Peak positions follow from Bragg's law for the DFT cell and can differ from measured ones.

Structure:
a b c (Å): 6.8615 6.8615 5.8209
angles (deg): 90.00 90.00 90.00
Space group P4/mbm (No. 127)
One atom of each set of equivalent atoms:
Ca  0.0000  0.0000  0.0000 (multiplicity 2)
La  0.1735  0.3265  0.5000 (multiplicity 4)
Rh  0.0000  0.5000  0.0000 (multiplicity 2)
O  0.0000  0.0000  0.5000 (multiplicity 2)
O  0.1462  0.6462  0.2403 (multiplicity 8)

Top 6 peaks for 10 to 90 degrees two-theta, low angle first:
| h k l | d (Å) | two_theta | I/Imax |
| --- | --- | --- | --- |
| 1 1 0 | 4.852 | 18.3 | 35 |
| 2 0 1 | 2.956 | 30.2 | 100 |
| 0 0 2 | 2.910 | 30.7 | 40 |
| 2 1 1 | 2.714 | 33.0 | 78 |
| 2 1 2 | 2.112 | 42.8 | 57 |
| 3 1 1 | 2.033 | 44.6 | 34 |



# NaTl3Fe2Cl8
Computed PXRD pattern, CuKα. Input: DFT lattice parameters and positions (PBE).
Peak positions follow from Bragg's law for the DFT cell and can differ from measured ones.

Structure:
a b c (Å): 7.3280 7.3280 9.0455
angles (deg): 90.00 90.00 120.00
Space group P-3m1 (No. 164)
One atom of each set of equivalent atoms:
Na  0.0000  0.0000  0.0000 (multiplicity 1)
Tl  0.0000  0.0000  0.5000 (multiplicity 1)
Tl  0.3333  0.6667  0.1283 (multiplicity 2)
Fe  0.3333  0.6667  0.7039 (multiplicity 2)
Cl  0.1670  0.3340  0.8039 (multiplicity 6)
Cl  0.3333  0.6667  0.4553 (multiplicity 2)

Top 6 peaks for 10 to 90 degrees two-theta, low angle first:
| h k l | d (Å) | two_theta | I/Imax |
| --- | --- | --- | --- |
| 1 0 1 | 5.195 | 17.1 | 57 |
| 0 1 2 | 3.683 | 24.2 | 57 |
| 1 1 0 | 3.664 | 24.3 | 100 |
| 0 2 1 | 2.994 | 29.8 | 45 |
| 2 0 2 | 2.598 | 34.5 | 51 |
| 3 0 0 | 2.117 | 42.7 | 49 |



# Pa2Co4SnGe3
Computed PXRD pattern, CuKα. Input: DFT lattice parameters and positions (PBE).
Peak positions follow from Bragg's law for the DFT cell and can differ from measured ones.

Structure:
a b c (Å): 3.9807 3.9807 10.3367
angles (deg): 90.00 90.00 90.00
Space group P-4m2 (No. 115)
One atom of each set of equivalent atoms:
Pa  0.0000  0.5000  0.2366 (multiplicity 2)
Co  0.0000  0.0000  0.0000 (multiplicity 1)
Co  0.0000  0.5000  0.6529 (multiplicity 2)
Co  0.5000  0.5000  0.0000 (multiplicity 1)
Sn  0.0000  0.0000  0.5000 (multiplicity 1)
Ge  0.0000  0.5000  0.8754 (multiplicity 2)
Ge  0.5000  0.5000  0.5000 (multiplicity 1)

Top 6 peaks for 10 to 90 degrees two-theta, low angle first:
| h k l | d (Å) | two_theta | I/Imax |
| --- | --- | --- | --- |
| 1 0 1 | 3.715 | 24.0 | 25 |
| 1 0 3 | 2.605 | 34.4 | 59 |
| 1 1 2 | 2.472 | 36.3 | 100 |
| 2 0 0 | 1.990 | 45.6 | 44 |
| 1 0 5 | 1.835 | 49.7 | 26 |
| 2 1 3 | 1.582 | 58.3 | 30 |



# Cs5Tb2O5
Computed PXRD pattern, CuKα. Input: DFT lattice parameters and positions (PBE).
Peak positions follow from Bragg's law for the DFT cell and can differ from measured ones.

Structure:
a b c (Å): 17.0538 4.0620 11.6873
angles (deg): 90.00 93.05 90.00
Space group C2/m (No. 12)
One atom of each set of equivalent atoms:
Cs  0.0000  0.0000  0.0000 (multiplicity 2)
Cs  0.1447  0.0000  0.4492 (multiplicity 4)
Cs  0.2237  0.0000  0.7987 (multiplicity 4)
Tb  0.0517  0.5000  0.6729 (multiplicity 4)
O  0.0000  0.5000  0.5000 (multiplicity 2)
O  0.0361  0.0000  0.7509 (multiplicity 4)
O  0.1728  0.5000  0.6412 (multiplicity 4)

Top 6 peaks for 10 to 90 degrees two-theta, low angle first:
| h k l | d (Å) | two_theta | I/Imax |
| --- | --- | --- | --- |
| 4 0 1 | 3.933 | 22.6 | 31 |
| 2 0 -3 | 3.612 | 24.6 | 69 |
| 4 0 2 | 3.355 | 26.6 | 33 |
| 1 1 2 | 3.253 | 27.4 | 76 |
| 3 1 -1 | 3.205 | 27.8 | 100 |
| 1 1 3 | 2.755 | 32.5 | 36 |